Starting from DFT lattice parameters and positions (GGA-PBE), the powder X-ray diffraction pattern of Y6TmCd2 was simulated for Cu Kα.
No peak broadening, texture or thermal motion is included.

Main lines, sorted by position (5 to 70 degrees two-theta):
index  two_theta  I (rel.)
0 0 1  7.8  19.7
4 0 -3  31.6  52.9
2 0 3  31.9  45.6
3 1 0  32.8  96.8
1 1 -3  32.9  100.0
2 0 -6  45.7  15.8
0 2 0  48.7  17.4
5 1 -6  57.2  17.3
4 2 -3  59.3  17.2
2 2 3  59.4  15.6

Structural model:
```
data_Y6TmCd2
_chemical_formula_sum 'Y12 Tm2 Cd4'
_cell_length_a 12.658
_cell_length_b 3.739
_cell_length_c 11.907
_cell_angle_alpha 90.00
_cell_angle_beta 108.80
_cell_angle_gamma 90.00
_space_group_name_H-M_alt 'C 1 2/m 1'
_space_group_IT_number 12
_space_group_name_Hall '-C 2y'
loop_
_atom_site_label
_atom_site_type_symbol
_atom_site_fract_x
_atom_site_fract_y
_atom_site_fract_z
Y1 Y 0.018 0.000 0.336
Y2 Y 0.185 0.500 0.878
Y3 Y 0.187 0.500 0.586
Tm1 Tm 0.000 0.000 0.000
Cd1 Cd 0.146 0.500 0.203
```